(1)
Starting from a GGA-PBE-relaxed structure, the powder diffraction line list of K3InP2O8 was calculated for Cu Kα (weighted mean of Kα1 and Kα2).

Crystal structure
abc: 9.7945 9.7945 9.9563
angles: 90.19 90.19 71.27
Fractional coordinates of all 56 atoms:
K  0.1052  0.8948  0.7500
K  0.1320  0.3594  0.2066
K  0.3037  0.5148  0.9090
K  0.3594  0.1320  0.7066
K  0.3600  0.6400  0.2500
K  0.4852  0.6963  0.5910
K  0.5148  0.3037  0.4090
K  0.6400  0.3600  0.7500
K  0.6406  0.8680  0.2934
K  0.6963  0.4852  0.0910
K  0.8680  0.6406  0.7934
K  0.8948  0.1052  0.2500
In  0.0134  0.7358  0.4252
In  0.2642  0.9866  0.0748
In  0.7358  0.0134  0.9252
In  0.9866  0.2642  0.5748
P  0.0374  0.7641  0.0839
P  0.2030  0.4980  0.5724
P  0.2359  0.9626  0.4161
P  0.4980  0.2030  0.0724
P  0.5020  0.7970  0.9276
P  0.7641  0.0374  0.5839
P  0.7970  0.5020  0.4276
P  0.9626  0.2359  0.9161
O  0.0272  0.1809  0.7754
O  0.0800  0.1656  0.0238
O  0.0872  0.6002  0.0742
O  0.0935  0.6421  0.6299
O  0.1497  0.3688  0.6059
O  0.1656  0.0800  0.5238
O  0.1717  0.8135  0.0530
O  0.1809  0.0272  0.2754
O  0.1865  0.8283  0.4470
O  0.2007  0.5238  0.4155
O  0.3561  0.4673  0.6302
O  0.3579  0.9065  0.8701
O  0.3688  0.1497  0.1059
O  0.3998  0.9128  0.4258
O  0.4673  0.3561  0.1302
O  0.4762  0.7993  0.0845
O  0.5238  0.2007  0.9155
O  0.5327  0.6439  0.8698
O  0.6002  0.0872  0.5742
O  0.6312  0.8503  0.8941
O  0.6421  0.0935  0.1299
O  0.6439  0.5327  0.3698
O  0.7993  0.4762  0.5845
O  0.8135  0.1717  0.5530
O  0.8191  0.9728  0.7246
O  0.8283  0.1865  0.9470
O  0.8344  0.9200  0.4762
O  0.8503  0.6312  0.3941
O  0.9065  0.3579  0.3701
O  0.9128  0.3998  0.9258
O  0.9200  0.8344  0.9762
O  0.9728  0.8191  0.2246

Main lines, in order of falling intensity (2θ = 10–80°):
- 2θ 31.18, I = 100
- 2θ 13.06, I = 82
- 2θ 28.72, I = 74
- 2θ 28.79, I = 61
- 2θ 31.35, I = 46
- 2θ 22.34, I = 42
- 2θ 20.23, I = 29
- 2θ 17.86, I = 29
- 2θ 30.51, I = 23
- 2θ 56.36, I = 17

(2)
Starting from a GGA-PBE-relaxed structure, the powder diffraction line list of Cu4SO12 was calculated for Cu Kα (weighted mean of Kα1 and Kα2).

Crystal structure
abc: 5.8804 5.1945 14.1229
angles: 90.00 93.29 90.00
Fractional coordinates of all 34 atoms:
Cu  0.0000  0.1737  0.0000
Cu  0.0000  0.8263  0.5000
Cu  0.2529  0.3210  0.4934
Cu  0.2529  0.6790  0.9934
Cu  0.5007  0.1786  0.9944
Cu  0.5007  0.8214  0.4944
Cu  0.7470  0.3204  0.4963
Cu  0.7470  0.6796  0.9963
S  0.0604  0.4705  0.2151
S  0.0604  0.5295  0.7151
O  0.0179  0.4903  0.1059
O  0.0179  0.5097  0.6059
O  0.1046  0.1935  0.2373
O  0.1046  0.8065  0.7373
O  0.2291  0.3531  0.9391
O  0.2291  0.6469  0.4391
O  0.2556  0.3697  0.7427
O  0.2556  0.6303  0.2427
O  0.2651  0.0030  0.0531
O  0.2651  0.9970  0.5531
O  0.5069  0.4498  0.5600
O  0.5069  0.5502  0.0600
O  0.5079  0.1291  0.4086
O  0.5079  0.8709  0.9086
O  0.7505  0.3510  0.9410
O  0.7505  0.6490  0.4410
O  0.7548  0.0006  0.0583
O  0.7548  0.9994  0.5583
O  0.7800  0.0407  0.7544
O  0.7800  0.9593  0.2544
O  0.8433  0.4507  0.7572
O  0.8433  0.5493  0.2572
O  0.9899  0.2045  0.4317
O  0.9899  0.7955  0.9317

Main lines, in order of falling intensity (2θ = 10–80°):
- 2θ 12.56, I = 100
- 2θ 25.27, I = 36
- 2θ 36.86, I = 13
- 2θ 35.38, I = 12
- 2θ 41.04, I = 10
- 2θ 46.77, I = 9
- 2θ 35.13, I = 9
- 2θ 39.65, I = 8
- 2θ 36.03, I = 7
- 2θ 39.28, I = 7

Repeat the first record exactly.
Starting from a GGA-PBE-relaxed structure, the powder diffraction line list of K3InP2O8 was calculated for Cu Kα (weighted mean of Kα1 and Kα2).

Crystal structure
abc: 9.7945 9.7945 9.9563
angles: 90.19 90.19 71.27
Fractional coordinates of all 56 atoms:
K  0.1052  0.8948  0.7500
K  0.1320  0.3594  0.2066
K  0.3037  0.5148  0.9090
K  0.3594  0.1320  0.7066
K  0.3600  0.6400  0.2500
K  0.4852  0.6963  0.5910
K  0.5148  0.3037  0.4090
K  0.6400  0.3600  0.7500
K  0.6406  0.8680  0.2934
K  0.6963  0.4852  0.0910
K  0.8680  0.6406  0.7934
K  0.8948  0.1052  0.2500
In  0.0134  0.7358  0.4252
In  0.2642  0.9866  0.0748
In  0.7358  0.0134  0.9252
In  0.9866  0.2642  0.5748
P  0.0374  0.7641  0.0839
P  0.2030  0.4980  0.5724
P  0.2359  0.9626  0.4161
P  0.4980  0.2030  0.0724
P  0.5020  0.7970  0.9276
P  0.7641  0.0374  0.5839
P  0.7970  0.5020  0.4276
P  0.9626  0.2359  0.9161
O  0.0272  0.1809  0.7754
O  0.0800  0.1656  0.0238
O  0.0872  0.6002  0.0742
O  0.0935  0.6421  0.6299
O  0.1497  0.3688  0.6059
O  0.1656  0.0800  0.5238
O  0.1717  0.8135  0.0530
O  0.1809  0.0272  0.2754
O  0.1865  0.8283  0.4470
O  0.2007  0.5238  0.4155
O  0.3561  0.4673  0.6302
O  0.3579  0.9065  0.8701
O  0.3688  0.1497  0.1059
O  0.3998  0.9128  0.4258
O  0.4673  0.3561  0.1302
O  0.4762  0.7993  0.0845
O  0.5238  0.2007  0.9155
O  0.5327  0.6439  0.8698
O  0.6002  0.0872  0.5742
O  0.6312  0.8503  0.8941
O  0.6421  0.0935  0.1299
O  0.6439  0.5327  0.3698
O  0.7993  0.4762  0.5845
O  0.8135  0.1717  0.5530
O  0.8191  0.9728  0.7246
O  0.8283  0.1865  0.9470
O  0.8344  0.9200  0.4762
O  0.8503  0.6312  0.3941
O  0.9065  0.3579  0.3701
O  0.9128  0.3998  0.9258
O  0.9200  0.8344  0.9762
O  0.9728  0.8191  0.2246

Main lines, in order of falling intensity (2θ = 10–80°):
- 2θ 31.18, I = 100
- 2θ 13.06, I = 82
- 2θ 28.72, I = 74
- 2θ 28.79, I = 61
- 2θ 31.35, I = 46
- 2θ 22.34, I = 42
- 2θ 20.23, I = 29
- 2θ 17.86, I = 29
- 2θ 30.51, I = 23
- 2θ 56.36, I = 17